Entry 1:
Theoretical PXRD pattern of HgPb4S5 for Cu Kα, from a DFT-relaxed cell (GGA-PBE, Alexandria).
No peak broadening, texture or thermal motion is included.

Crystal structure
Unit cell a=17.132 b=17.132 c=17.132 alpha=14.05 beta=14.05 gamma=14.05
Positions (direct):
Hg  0.000  0.000  0.000
Pb  0.201  0.201  0.201
Pb  0.397  0.397  0.397
Pb  0.603  0.603  0.603
Pb  0.799  0.799  0.799
S  0.098  0.098  0.098
S  0.304  0.304  0.304
S  0.500  0.500  0.500
S  0.696  0.696  0.696
S  0.902  0.902  0.902

The 6 most intense peaks (10° ≤ 2θ ≤ 90°), low angle first:
two_theta	intensity
26.07	73.9
26.27	23.4
30.25	100.0
43.18	38.8
43.44	35.1
51.25	24.9


Entry 2:
Theoretical PXRD pattern of Ca2Zn3Si for Cu Kα, from a DFT-relaxed cell (GGA-PBE, Alexandria).
No peak broadening, texture or thermal motion is included.

Crystal structure
Unit cell a=8.877 b=8.524 c=5.783 alpha=73.92 beta=67.33 gamma=38.76
Positions (direct):
Ca  0.244  0.756  0.756
Ca  0.250  0.250  0.250
Ca  0.750  0.750  0.750
Ca  0.756  0.244  0.244
Zn  0.169  0.169  0.831
Zn  0.171  0.661  0.339
Zn  0.339  0.829  0.171
Zn  0.661  0.171  0.829
Zn  0.829  0.339  0.661
Zn  0.831  0.831  0.169
Si  0.335  0.335  0.665
Si  0.665  0.665  0.335

The 6 most intense peaks (10° ≤ 2θ ≤ 90°), low angle first:
two_theta	intensity
24.08	23.1
33.63	100.0
40.62	73.3
47.78	21.9
53.69	16.3
65.74	32.1